Structure and theoretical PXRD pattern of Li2ZnCd2Pd5 (DFT lattice parameters and positions (PBE); copper Kα).
Peak positions follow from Bragg's law for the DFT cell and can differ from measured ones.

Cell and atoms:
```
Li2ZnCd2Pd5
1.0
9.325 0.000 0.000
0.000 9.325 0.000
0.000 0.000 3.546
Li Zn Cd Pd
4 2 4 10
direct
0.124 0.376 0.000 Li
0.376 0.876 0.000 Li
0.624 0.124 0.000 Li
0.876 0.624 0.000 Li
0.000 0.000 0.000 Zn
0.500 0.500 0.000 Zn
0.174 0.674 0.000 Cd
0.326 0.174 0.000 Cd
0.674 0.826 0.000 Cd
0.826 0.326 0.000 Cd
0.000 0.500 0.500 Pd
0.071 0.200 0.500 Pd
0.200 0.929 0.500 Pd
0.300 0.429 0.500 Pd
0.429 0.700 0.500 Pd
0.500 0.000 0.500 Pd
0.571 0.300 0.500 Pd
0.700 0.571 0.500 Pd
0.800 0.071 0.500 Pd
0.929 0.800 0.500 Pd
```

Peak list (6 most intense, 2θ from 10° to 90°, sorted by position)
2.701 Å, 2θ = 33.17°, rel. 62
2.267 Å, 2θ = 39.76°, rel. 100
2.262 Å, 2θ = 39.86°, rel. 61
2.088 Å, 2θ = 43.34°, rel. 46
1.773 Å, 2θ = 51.55°, rel. 22
1.395 Å, 2θ = 67.08°, rel. 25


Structure and theoretical PXRD pattern of Li3PmCd9 (DFT lattice parameters and positions (PBE); copper Kα).
Peak positions follow from Bragg's law for the DFT cell and can differ from measured ones.

Cell and atoms:
```
Li3PmCd9
1.0
2.706 -7.098 0.000
2.706 7.098 0.000
-2.698 0.000 7.080
Li Pm Cd
3 1 9
direct
0.000 0.000 0.000 Li
0.000 0.500 0.500 Li
0.500 0.000 0.500 Li
0.000 0.000 0.500 Pm
0.012 0.659 0.159 Cd
0.280 0.499 0.291 Cd
0.341 0.988 0.841 Cd
0.499 0.280 0.291 Cd
0.500 0.500 0.000 Cd
0.501 0.720 0.709 Cd
0.659 0.012 0.159 Cd
0.720 0.501 0.709 Cd
0.988 0.341 0.841 Cd
```

Peak list (6 most intense, 2θ from 10° to 90°, sorted by position)
2.844 Å, 2θ = 31.46°, rel. 48
2.706 Å, 2θ = 33.10°, rel. 33
2.506 Å, 2θ = 35.83°, rel. 30
2.473 Å, 2θ = 36.32°, rel. 100
2.218 Å, 2θ = 40.68°, rel. 23
2.151 Å, 2θ = 42.01°, rel. 24


Structure and theoretical PXRD pattern of Li2Pm3Cd9 (DFT lattice parameters and positions (PBE); copper Kα).
Peak positions follow from Bragg's law for the DFT cell and can differ from measured ones.

Cell and atoms:
```
Li2Pm3Cd9
1.0
-2.413 5.342 6.434
2.413 -5.342 6.434
2.413 5.342 -6.434
Li Pm Cd
2 3 9
direct
0.169 0.000 0.169 Li
0.831 0.000 0.831 Li
0.210 0.210 0.000 Pm
0.500 0.500 0.000 Pm
0.790 0.790 0.000 Pm
0.000 0.500 0.500 Cd
0.084 0.363 0.721 Cd
0.225 0.859 0.366 Cd
0.358 0.637 0.721 Cd
0.493 0.859 0.634 Cd
0.507 0.141 0.366 Cd
0.642 0.363 0.279 Cd
0.775 0.141 0.634 Cd
0.916 0.637 0.279 Cd
```

Peak list (6 most intense, 2θ from 10° to 90°, sorted by position)
3.209 Å, 2θ = 27.80°, rel. 24
2.866 Å, 2θ = 31.21°, rel. 48
2.752 Å, 2θ = 32.54°, rel. 100
2.597 Å, 2θ = 34.54°, rel. 27
2.413 Å, 2θ = 37.27°, rel. 38
2.299 Å, 2θ = 39.18°, rel. 30


Structure and theoretical PXRD pattern of Li3Pm2Cd4 (DFT lattice parameters and positions (PBE); copper Kα).
Peak positions follow from Bragg's law for the DFT cell and can differ from measured ones.

Cell and atoms:
```
Li3Pm2Cd4
1.0
3.058 -8.066 0.000
3.058 8.066 0.000
0.000 0.000 8.435
Li Pm Cd
6 4 8
direct
0.000 0.000 0.000 Li
0.028 0.472 0.250 Li
0.472 0.028 0.750 Li
0.500 0.500 0.500 Li
0.528 0.972 0.250 Li
0.972 0.528 0.750 Li
0.114 0.886 0.414 Pm
0.386 0.614 0.914 Pm
0.614 0.386 0.086 Pm
0.886 0.114 0.586 Pm
0.181 0.819 0.027 Cd
0.198 0.302 0.250 Cd
0.302 0.198 0.750 Cd
0.319 0.681 0.527 Cd
0.681 0.319 0.473 Cd
0.698 0.802 0.250 Cd
0.802 0.698 0.750 Cd
0.819 0.181 0.973 Cd
```

Peak list (6 most intense, 2θ from 10° to 90°, sorted by position)
3.737 Å, 2θ = 23.81°, rel. 34
3.639 Å, 2θ = 24.46°, rel. 22
2.916 Å, 2θ = 30.66°, rel. 36
2.705 Å, 2θ = 33.12°, rel. 100
2.655 Å, 2θ = 33.76°, rel. 46
2.476 Å, 2θ = 36.29°, rel. 50


Structure and theoretical PXRD pattern of Li2PmCd5 (DFT lattice parameters and positions (PBE); copper Kα).
Peak positions follow from Bragg's law for the DFT cell and can differ from measured ones.

Cell and atoms:
```
Li2PmCd5
1.0
-2.435 2.435 7.349
2.435 -2.435 7.349
2.435 2.435 -7.349
Li Pm Cd
2 1 5
direct
0.247 0.247 0.000 Li
0.753 0.753 0.000 Li
0.500 0.500 0.000 Pm
0.000 0.000 0.000 Cd
0.144 0.644 0.500 Cd
0.356 0.856 0.500 Cd
0.644 0.144 0.500 Cd
0.856 0.356 0.500 Cd
```

Peak list (6 most intense, 2θ from 10° to 90°, sorted by position)
3.118 Å, 2θ = 28.63°, rel. 50
2.513 Å, 2θ = 35.74°, rel. 100
2.435 Å, 2θ = 36.92°, rel. 53
1.727 Å, 2θ = 53.03°, rel. 20
1.722 Å, 2θ = 53.20°, rel. 18
1.420 Å, 2θ = 65.75°, rel. 32


Structure and theoretical PXRD pattern of Li2PmCd2 (DFT lattice parameters and positions (PBE); copper Kα).
Peak positions follow from Bragg's law for the DFT cell and can differ from measured ones.

Cell and atoms:
```
Li2PmCd2
1.0
8.273 0.000 0.000
0.000 8.273 0.000
0.000 0.000 3.180
Li Pm Cd
4 2 4
direct
0.117 0.383 0.000 Li
0.383 0.883 0.000 Li
0.617 0.117 0.000 Li
0.883 0.617 0.000 Li
0.000 0.000 0.000 Pm
0.500 0.500 0.000 Pm
0.179 0.679 0.500 Cd
0.321 0.179 0.500 Cd
0.679 0.821 0.500 Cd
0.821 0.321 0.500 Cd
```

Peak list (6 most intense, 2θ from 10° to 90°, sorted by position)
3.700 Å, 2θ = 24.05°, rel. 77
2.925 Å, 2θ = 30.56°, rel. 50
2.794 Å, 2θ = 32.04°, rel. 52
2.616 Å, 2θ = 34.28°, rel. 79
2.521 Å, 2θ = 35.61°, rel. 100
2.411 Å, 2θ = 37.29°, rel. 58


Structure and theoretical PXRD pattern of LiPm2Cd5 (DFT lattice parameters and positions (PBE); copper Kα).
Peak positions follow from Bragg's law for the DFT cell and can differ from measured ones.

Cell and atoms:
```
LiPm2Cd5
1.0
-2.475 2.475 7.873
2.475 -2.475 7.873
2.475 2.475 -7.873
Li Pm Cd
1 2 5
direct
0.000 0.000 0.000 Li
0.257 0.257 0.000 Pm
0.743 0.743 0.000 Pm
0.109 0.609 0.500 Cd
0.391 0.891 0.500 Cd
0.500 0.500 0.000 Cd
0.609 0.109 0.500 Cd
0.891 0.391 0.500 Cd
```

Peak list (6 most intense, 2θ from 10° to 90°, sorted by position)
3.198 Å, 2θ = 27.89°, rel. 17
2.616 Å, 2θ = 34.28°, rel. 100
2.475 Å, 2θ = 36.30°, rel. 47
1.750 Å, 2θ = 52.27°, rel. 16
1.541 Å, 2θ = 60.06°, rel. 14
1.455 Å, 2θ = 64.00°, rel. 35


Structure and theoretical PXRD pattern of LiPm5Cd6 (DFT lattice parameters and positions (PBE); copper Kα).
Peak positions follow from Bragg's law for the DFT cell and can differ from measured ones.

Cell and atoms:
```
LiPm5Cd6
1.0
-2.657 3.794 7.975
2.657 -3.794 7.975
2.657 3.794 -7.975
Li Pm Cd
1 5 6
direct
0.000 0.000 0.000 Li
0.174 0.674 0.500 Pm
0.335 0.335 0.000 Pm
0.500 0.000 0.500 Pm
0.665 0.665 0.000 Pm
0.826 0.326 0.500 Pm
0.075 0.845 0.230 Cd
0.224 0.500 0.724 Cd
0.385 0.155 0.230 Cd
0.615 0.845 0.770 Cd
0.776 0.500 0.276 Cd
0.925 0.155 0.770 Cd
```

Peak list (6 most intense, 2θ from 10° to 90°, sorted by position)
2.670 Å, 2θ = 33.56°, rel. 100
2.658 Å, 2θ = 33.72°, rel. 50
1.879 Å, 2θ = 48.44°, rel. 17
1.544 Å, 2θ = 59.91°, rel. 16
1.537 Å, 2θ = 60.22°, rel. 34
1.189 Å, 2θ = 80.81°, rel. 10